For Nd2Ni7P4, a crystal structure in Alexandria, relaxed with PBE gives the theoretical powder diffractogram in this record (CuKα).
Lines closer than 0.1° are merged.

Main lines, by angle (10° ≤ 2θ ≤ 90°):
2θ 26.97, I = 18, hkl 1 1 1; 2θ 30.23, I = 18, hkl 0 3 1; 2θ 32.16, I = 18, hkl 0 2 3; 2θ 34.30, I = 17, hkl 0 0 4; 2θ 35.22, I = 25, hkl 1 2 2; 2θ 36.46, I = 100, hkl 1 1 3; 2θ 37.73, I = 79, hkl 1 3 0; 2θ 40.31, I = 30, hkl 1 2 3; 2θ 43.26, I = 25, hkl 1 1 4; 2θ 47.17, I = 35, hkl 0 4 3; 2θ 48.40, I = 43, hkl 2 0 0; 2θ 69.90, I = 21, hkl 2 4 3

Structure:
Unit cell a=3.761 b=9.248 c=10.458 alpha=90.00 beta=90.00 gamma=90.00
Atoms (fractional coordinates):
Nd1 0.000 0.060 0.000
Nd2 0.000 0.436 0.217
Nd3 0.500 0.564 0.717
Nd4 0.500 0.940 0.500
Ni1 0.000 0.061 0.696
Ni2 0.000 0.096 0.302
Ni3 0.000 0.305 0.793
Ni4 0.000 0.417 0.521
Ni5 0.000 0.682 0.480
Ni6 0.000 0.726 0.888
Ni7 0.000 0.747 0.120
Ni8 0.500 0.253 0.620
Ni9 0.500 0.274 0.388
Ni10 0.500 0.318 0.980
Ni11 0.500 0.583 0.021
Ni12 0.500 0.695 0.293
Ni13 0.500 0.904 0.802
Ni14 0.500 0.939 0.196
P1 0.000 0.183 0.505
P2 0.000 0.478 0.934
P3 0.000 0.814 0.687
P4 0.000 0.842 0.308
P5 0.500 0.158 0.808
P6 0.500 0.186 0.187
P7 0.500 0.522 0.434
P8 0.500 0.817 0.005